Rb2PmV2O7: computed XRD peak list (Cu Kα, 1.54184 Å), based on a DFT-relaxed cell (PBE+U, Alexandria).

abc: 3.910 3.910 22.052
angles: 90.00 90.00 90.00
Space group I4/mmm (No. 139)
Asymmetric unit:
Rb1 0.000 0.000 0.187 (multiplicity 4)
Pm1 0.000 0.000 0.000 (multiplicity 2)
V1 0.000 0.000 0.410 (multiplicity 4)
O1 0.000 0.000 0.331 (multiplicity 4)
O2 0.000 0.000 0.500 (multiplicity 2)
O3 0.000 0.500 0.078 (multiplicity 8)

Top 10 peaks for 10 to 90 degrees two-theta, by angle:
2θ/deg  I_rel  h k l
23.1  12  1 0 1
30.6  100  1 0 5
32.4  52  1 1 0
40.9  39  0 0 10
46.4  32  2 0 0
53.1  22  1 1 10
56.6  34  2 1 5
63.6  11  2 0 10
67.8  9  2 2 0
82.3  11  2 2 10